Computed powder diffractogram of ThZrMn4 for copper Kα, from a PBE-relaxed structure.

Cell and atoms:
```
6
Lattice="0.000 3.637 3.637 3.637 0.000 3.637 3.637 3.637 0.000" Properties=species:S:1:pos:R:3 pbc="T T T"
Th 0.000 0.000 0.000
Zr 5.455 5.455 5.455
Mn 2.733 2.733 2.733
Mn 4.540 4.540 2.733
Mn 4.540 2.733 4.540
Mn 2.733 4.540 4.540
```

Main lines, low angle first (2θ from 15° to 90°):
2θ/deg	I (rel.)
21.16	294
34.89	654
41.16	1000
62.57	244
66.84	310
73.68	203

***

Computed powder diffractogram of PrHoNiIr for copper Kα, from a PBE-relaxed structure.

Cell and atoms:
```
4
Lattice="4.099 0.000 0.000 0.000 1.969 5.449 0.000 -1.969 5.449" Properties=species:S:1:pos:R:3 pbc="T T T"
Pr 0.000 0.000 0.000
Ho 2.049 0.000 3.081
Ni 2.049 0.000 6.266
Ir 0.000 0.000 7.890
```

Main lines, low angle first (2θ from 15° to 90°):
2θ/deg	I (rel.)
32.58	1000
32.87	261
33.56	328
39.72	266
40.31	614
44.20	239

***

Computed powder diffractogram of Ca3Mg for copper Kα, from a PBE-relaxed structure.

Cell and atoms:
```
8
Lattice="7.345 0.000 0.000 0.000 7.370 0.000 0.000 0.000 5.371" Properties=species:S:1:pos:R:3 pbc="T T T"
Ca 0.000 0.000 0.000
Ca 1.674 2.005 2.685
Ca 1.999 5.689 2.685
Ca 3.672 3.685 0.000
Ca 5.346 1.680 2.685
Ca 5.671 5.365 2.685
Mg 0.000 3.685 0.000
Mg 3.672 0.000 0.000
```

Main lines, low angle first (2θ from 15° to 90°):
2θ/deg	I (rel.)
29.43	1000
33.37	183
34.48	307
48.74	212
57.23	131
58.64	108

***

Computed powder diffractogram of Th3Zn2Rh5 for copper Kα, from a PBE-relaxed structure.

Cell and atoms:
```
20
Lattice="10.098 0.000 0.000 0.000 10.098 0.000 0.000 0.000 3.761" Properties=species:S:1:pos:R:3 pbc="T T T"
Th 0.000 0.000 0.000
Th 1.732 3.317 0.000
Th 3.317 8.366 0.000
Th 5.049 5.049 0.000
Th 6.781 1.732 0.000
Th 8.366 6.781 0.000
Zn 1.232 6.281 0.000
Zn 3.817 1.232 0.000
Zn 6.281 8.866 0.000
Zn 8.866 3.817 0.000
Rh 0.000 5.049 1.881
Rh 0.753 7.982 1.881
Rh 2.116 0.753 1.881
Rh 2.933 5.802 1.881
Rh 4.295 2.933 1.881
Rh 5.049 0.000 1.881
Rh 5.802 7.165 1.881
Rh 7.165 4.295 1.881
Rh 7.982 9.344 1.881
Rh 9.344 2.116 1.881
```

Main lines, low angle first (2θ from 15° to 90°):
2θ/deg	I (rel.)
30.94	360
34.64	249
36.69	398
36.93	1000
39.93	222
40.14	198